1.
Computed X-ray powder pattern of TlCd10In for Cu Kα X-rays, from DFT lattice parameters and positions (PBE).
Intensities are scaled so that the largest is 100.

Structural model:
Cell: 4.9314 6.0965 10.2730 Å, 90.00 90.00 90.00°
Atoms (fractional coordinates):
Tl 0.0000 0.0000 0.0000
Cd 0.0000 0.0000 0.3356
Cd 0.0000 0.0000 0.6644
Cd 0.0000 0.5000 0.1725
Cd 0.0000 0.5000 0.8275
Cd 0.5000 0.0000 0.5000
Cd 0.5000 0.2492 0.2496
Cd 0.5000 0.2492 0.7504
Cd 0.5000 0.5000 0.0000
Cd 0.5000 0.7508 0.2496
Cd 0.5000 0.7508 0.7504
In 0.0000 0.5000 0.5000

Principal peaks in the range 10° ≤ 2θ ≤ 90°, low angle first:
| 2θ (°) | intensity |
| --- | --- |
| 24.79 | 25 |
| 29.93 | 23 |
| 34.21 | 31 |
| 34.59 | 52 |
| 35.14 | 100 |
| 36.44 | 48 |
| 38.91 | 28 |
| 50.84 | 20 |
| 55.81 | 26 |
| 74.27 | 22 |



2.
Computed X-ray powder pattern of Tl7Hg3Sb for Cu Kα X-rays, from DFT lattice parameters and positions (PBE).
Intensities are scaled so that the largest is 100.

Structural model:
Cell: 6.9334 6.9334 8.3468 Å, 90.00 90.00 120.00°
Atoms (fractional coordinates):
Tl 0.0000 0.0000 0.0000
Tl 0.0059 0.5030 0.9837
Tl 0.1713 0.3426 0.3615
Tl 0.1713 0.8287 0.3615
Tl 0.4970 0.5030 0.9837
Tl 0.4970 0.9941 0.9837
Tl 0.6574 0.8287 0.3615
Hg 0.3460 0.1730 0.6632
Hg 0.8270 0.1730 0.6632
Hg 0.8270 0.6540 0.6632
Sb 0.6667 0.3333 0.2858

Principal peaks in the range 10° ≤ 2θ ≤ 90°, low angle first:
| 2θ (°) | intensity |
| --- | --- |
| 31.67 | 100 |
| 32.17 | 28 |
| 36.88 | 63 |
| 52.82 | 24 |
| 53.48 | 19 |
| 62.91 | 14 |
| 63.20 | 24 |
| 66.15 | 11 |
| 86.57 | 12 |
| 89.50 | 11 |



3.
Computed X-ray powder pattern of SrPm4Pr8 for Cu Kα X-rays, from DFT lattice parameters and positions (PBE).
Intensities are scaled so that the largest is 100.

Structural model:
Cell: 6.4593 6.4593 15.3661 Å, 93.92 93.92 48.15°
Atoms (fractional coordinates):
Sr 0.0000 0.0000 0.0000
Pm 0.1526 0.1526 0.5375
Pm 0.3763 0.3763 0.8377
Pm 0.6237 0.6237 0.1623
Pm 0.8474 0.8474 0.4625
Pr 0.0748 0.0748 0.7633
Pr 0.2338 0.2338 0.3105
Pr 0.3069 0.3069 0.0830
Pr 0.4596 0.4596 0.6133
Pr 0.5404 0.5404 0.3867
Pr 0.6931 0.6931 0.9170
Pr 0.7662 0.7662 0.6895
Pr 0.9252 0.9252 0.2367

Principal peaks in the range 10° ≤ 2θ ≤ 90°, low angle first:
| 2θ (°) | intensity |
| --- | --- |
| 29.34 | 100 |
| 34.01 | 51 |
| 48.86 | 36 |
| 58.01 | 35 |
| 58.07 | 7 |
| 60.83 | 6 |
| 60.91 | 6 |
| 71.60 | 6 |
| 79.23 | 11 |
| 81.68 | 13 |